For LiAl5Ga8, a structure optimized by DFT (PBE) gives the computed X-ray powder pattern in this record (copper Kα).
No peak broadening, texture or thermal motion is included.

Cell and atoms:
```
data_LiAl5Ga8
_symmetry_space_group_name_H-M 'I -4'
_symmetry_Int_Tables_number 82
_cell_length_a 8.4496
_cell_length_b 8.4496
_cell_length_c 7.3421
_cell_angle_alpha 90.00
_cell_angle_beta 90.00
_cell_angle_gamma 90.00
loop_
_symmetry_equiv_pos_as_xyz
'x,y,z'
'y,-x,-z'
'-x,-y,z'
'-y,x,-z'
'x+1/2,y+1/2,z+1/2'
'y+1/2,-x+1/2,-z+1/2'
'-x+1/2,-y+1/2,z+1/2'
'-y+1/2,x+1/2,-z+1/2'
loop_
_atom_site_label
_atom_site_fract_x
_atom_site_fract_y
_atom_site_fract_z
Li1 0.0000 0.0000 0.0000
Al1 0.0000 0.5000 0.2500
Al2 0.1243 0.6378 0.8674
Ga1 0.0580 0.1549 0.3294
Ga2 0.1585 0.3257 0.0058
```

Most intense lines, 2θ from 10° to 90°, in order of rising 2θ:
2theta	intensity	hkl
26.5	100	1 2 1
32.3	43	2 0 2
34.1	45	3 0 1
38.9	36	2 2 2
41.8	51	1 3 2
44.1	59	1 2 3
46.0	49	4 1 1
71.4	36	2 5 3